1.
For ErGaPb, a cell relaxed with GGA-PBE gives the calculated X-ray diffraction stick pattern in this record (Cu Kα (weighted mean of Kα1 and Kα2)).
Peak positions follow from Bragg's law for the DFT cell and can differ from measured ones.

Structure:
Lattice parameters (Å, degrees): 3.666 4.725 9.066 90.00 90.00 90.00
Space group Imm2 (No. 44)
Unique sites:
Er1 0.000 0.000 0.000
Ga1 0.000 0.000 0.337
Pb1 0.000 0.000 0.656

Main lines, in order of falling intensity (2θ from 5° to 70°):
- hkl 1 1 0, 30.9 deg, I = 100
- hkl 0 1 3, 35.3 deg, I = 70
- hkl 1 0 3, 38.6 deg, I = 55
- hkl 1 2 3, 55.4 deg, I = 39
- hkl 0 2 0, 38.1 deg, I = 29
- hkl 2 1 3, 62.4 deg, I = 27
- hkl 2 2 0, 64.4 deg, I = 25
- hkl 0 1 1, 21.2 deg, I = 14
- hkl 0 0 2, 19.6 deg, I = 14
- hkl 2 0 0, 49.7 deg, I = 13
- hkl 1 1 2, 36.8 deg, I = 12
- hkl 0 3 3, 67.0 deg, I = 11

=====

2.
For Ho4I5N, a cell relaxed with GGA-PBE gives the calculated X-ray diffraction stick pattern in this record (Cu Kα (weighted mean of Kα1 and Kα2)).
Peak positions follow from Bragg's law for the DFT cell and can differ from measured ones.

Structure:
Lattice parameters (Å, degrees): 18.976 3.893 8.511 90.00 102.60 90.00
Space group C2/m (No. 12)
Unique sites:
Ho1 0.001 0.000 0.313
Ho2 0.125 0.500 0.561
I1 0.000 0.500 0.000
I2 0.162 0.000 0.839
I3 0.166 0.000 0.321
N1 0.000 0.500 0.500

Main lines, in order of falling intensity (2θ from 5° to 70°):
- hkl 1 1 -2, 31.1 deg, I = 100
- hkl 5 1 0, 33.4 deg, I = 40
- hkl 6 0 0, 28.9 deg, I = 39
- hkl 0 0 1, 10.7 deg, I = 36
- hkl 2 0 0, 9.6 deg, I = 29
- hkl 3 1 1, 30.3 deg, I = 23
- hkl 7 1 -2, 43.1 deg, I = 21
- hkl 5 1 2, 42.9 deg, I = 21
- hkl 0 2 0, 46.7 deg, I = 19
- hkl 2 0 3, 35.8 deg, I = 15
- hkl 3 1 -1, 28.0 deg, I = 14
- hkl 2 0 -4, 42.5 deg, I = 13

=====

3.
For La2HfO4, a cell relaxed with GGA-PBE gives the calculated X-ray diffraction stick pattern in this record (Cu Kα (weighted mean of Kα1 and Kα2)).
Peak positions follow from Bragg's law for the DFT cell and can differ from measured ones.

Structure:
Lattice parameters (Å, degrees): 9.794 9.794 9.794 90.00 90.00 90.00
Space group Fd-3m (No. 227, origin choice 2)
Unique sites:
La1 0.000 0.000 0.000
Hf1 0.125 0.125 0.625
O1 0.009 0.009 0.741

Main lines, in order of falling intensity (2θ from 5° to 70°):
- hkl 3 1 1, 30.3 deg, I = 100
- hkl 4 4 0, 52.9 deg, I = 38
- hkl 3 3 3, 48.3 deg, I = 35
- hkl 2 2 0, 25.7 deg, I = 34
- hkl 2 2 2, 31.6 deg, I = 18
- hkl 4 2 2, 45.4 deg, I = 15
- hkl 5 3 3, 62.1 deg, I = 13
- hkl 6 2 2, 62.9 deg, I = 9
- hkl 6 2 0, 59.7 deg, I = 6
- hkl 4 0 0, 36.7 deg, I = 6
- hkl 4 4 4, 66.1 deg, I = 1

=====

4.
For Li2Nb2InGeOs2, a cell relaxed with GGA-PBE gives the calculated X-ray diffraction stick pattern in this record (Cu Kα (weighted mean of Kα1 and Kα2)).
Peak positions follow from Bragg's law for the DFT cell and can differ from measured ones.

Structure:
Lattice parameters (Å, degrees): 4.416 4.416 6.289 90.00 90.00 90.00
Space group P-4m2 (No. 115)
Unique sites:
Li1 0.000 0.500 0.240
Nb1 0.000 0.000 0.000
Nb2 0.500 0.500 0.500
In1 0.000 0.000 0.500
Ge1 0.500 0.500 0.000
Os1 0.000 0.500 0.763

Main lines, in order of falling intensity (2θ from 5° to 70°):
- hkl 1 1 2, 40.7 deg, I = 100
- hkl 1 0 1, 24.6 deg, I = 83
- hkl 2 0 0, 40.9 deg, I = 50
- hkl 2 1 1, 48.3 deg, I = 28
- hkl 2 2 0, 59.2 deg, I = 17
- hkl 1 0 3, 48.0 deg, I = 13
- hkl 2 1 3, 64.9 deg, I = 11
- hkl 0 0 4, 58.7 deg, I = 8
- hkl 3 0 1, 65.1 deg, I = 6
- hkl 1 1 1, 32.0 deg, I = 2
- hkl 1 0 2, 35.0 deg, I = 1
- hkl 2 0 3, 60.9 deg, I = 1

=====

5.
For Pr4AgAu3, a cell relaxed with GGA-PBE gives the calculated X-ray diffraction stick pattern in this record (Cu Kα (weighted mean of Kα1 and Kα2)).
Peak positions follow from Bragg's law for the DFT cell and can differ from measured ones.

Structure:
Lattice parameters (Å, degrees): 5.904 4.881 7.542 90.00 90.14 90.00
Space group Pm (No. 6)
Unique sites:
Pr1 0.000 0.000 0.000
Pr2 0.209 0.000 0.505
Pr3 0.498 0.500 0.867
Pr4 0.721 0.500 0.375
Ag1 0.501 0.000 0.151
Au1 0.004 0.500 0.730
Au2 0.220 0.500 0.226
Au3 0.703 0.000 0.646

Main lines, in order of falling intensity (2θ from 5° to 70°):
- hkl 1 1 2, 33.7 deg, I = 100
- hkl 2 1 -1, 37.5 deg, I = 93
- hkl 0 1 2, 29.9 deg, I = 63
- hkl 0 2 0, 36.8 deg, I = 51
- hkl 2 0 1, 32.6 deg, I = 41
- hkl 1 2 -4, 64.3 deg, I = 28
- hkl 2 2 1, 50.0 deg, I = 25
- hkl 1 0 -1, 19.1 deg, I = 25
- hkl 2 3 -1, 66.8 deg, I = 25
- hkl 1 0 -3, 38.9 deg, I = 23
- hkl 1 0 -4, 50.8 deg, I = 21
- hkl 1 1 -1, 26.5 deg, I = 17

=====

6.
For Ho3Mg3GaAgPd, a cell relaxed with GGA-PBE gives the calculated X-ray diffraction stick pattern in this record (Cu Kα (weighted mean of Kα1 and Kα2)).
Peak positions follow from Bragg's law for the DFT cell and can differ from measured ones.

Structure:
Lattice parameters (Å, degrees): 7.6671 7.6671 3.9827 90.00 90.00 120.00
Space group P-6 (No. 174)
Unique sites:
Ho1 0.0141 0.4232 0.0000
Mg1 0.2533 0.2502 0.5000
Ga1 0.6667 0.3333 0.5000
Ag1 0.0000 0.0000 0.0000
Pd1 0.3333 0.6667 0.5000

Main lines, in order of falling intensity (2θ from 5° to 70°):
- hkl 2 0 1, 35.2 deg, I = 100
- hkl 1 1 1, 32.4 deg, I = 76
- hkl 2 0 0, 26.9 deg, I = 33
- hkl 1 1 0, 23.2 deg, I = 32
- hkl 1 3 1, 54.9 deg, I = 26
- hkl 2 1 1, 42.6 deg, I = 26
- hkl 3 0 0, 40.8 deg, I = 26
- hkl 2 1 0, 35.8 deg, I = 25
- hkl 3 2 1, 65.6 deg, I = 23
- hkl 1 3 0, 49.5 deg, I = 22
- hkl 0 0 1, 22.3 deg, I = 20
- hkl 0 0 2, 45.6 deg, I = 20

=====

7.
For LaTb2Sn5Pb2, a cell relaxed with GGA-PBE gives the calculated X-ray diffraction stick pattern in this record (Cu Kα (weighted mean of Kα1 and Kα2)).
Peak positions follow from Bragg's law for the DFT cell and can differ from measured ones.

Structure:
Lattice parameters (Å, degrees): 4.659 25.491 4.663 90.00 90.00 90.00
Space group Cmmm (No. 65)
Unique sites:
La1 0.000 0.000 0.000
Tb1 0.000 0.190 0.000
Sn1 0.000 0.100 0.500
Sn2 0.000 0.292 0.500
Sn3 0.000 0.500 0.500
Pb1 0.000 0.401 0.000

Main lines, in order of falling intensity (2θ from 5° to 70°):
- hkl 1 5 1, 32.3 deg, I = 100
- hkl 2 0 0, 38.6 deg, I = 32
- hkl 3 5 1, 66.0 deg, I = 27
- hkl 2 10 0, 53.3 deg, I = 23
- hkl 0 10 0, 35.2 deg, I = 18
- hkl 1 15 1, 61.4 deg, I = 13
- hkl 2 0 2, 55.8 deg, I = 11
- hkl 2 10 2, 67.7 deg, I = 11
- hkl 0 0 1, 19.0 deg, I = 3
- hkl 1 5 0, 25.9 deg, I = 3
- hkl 0 4 1, 23.6 deg, I = 2
- hkl 1 9 0, 37.1 deg, I = 2

=====

8.
For CsNbF6, a cell relaxed with GGA-PBE gives the calculated X-ray diffraction stick pattern in this record (Cu Kα (weighted mean of Kα1 and Kα2)).
Peak positions follow from Bragg's law for the DFT cell and can differ from measured ones.

Structure:
Lattice parameters (Å, degrees): 5.224 5.224 9.687 90.00 90.00 90.00
Space group P-4c2 (No. 116)
Unique sites:
Cs1 0.000 0.000 0.000
Nb1 0.500 0.500 0.250
F1 0.237 0.237 0.250
F2 0.313 0.332 0.607

Main lines, in order of falling intensity (2θ from 5° to 70°):
- hkl 1 0 2, 25.1 deg, I = 100
- hkl 1 1 0, 24.1 deg, I = 70
- hkl 2 1 2, 43.0 deg, I = 54
- hkl 1 1 4, 44.7 deg, I = 20
- hkl 2 0 4, 51.5 deg, I = 15
- hkl 3 1 4, 68.8 deg, I = 15
- hkl 3 0 2, 56.1 deg, I = 14
- hkl 2 2 0, 49.3 deg, I = 14
- hkl 3 2 2, 67.5 deg, I = 11
- hkl 1 0 6, 60.0 deg, I = 11
- hkl 2 0 0, 34.3 deg, I = 9
- hkl 3 1 0, 55.6 deg, I = 9

=====

Question: What is the formula in the second record?
Answer: Ho4I5N

=====

What did the second record say?
For Ho4I5N, a cell relaxed with GGA-PBE gives the calculated X-ray diffraction stick pattern in this record (Cu Kα (weighted mean of Kα1 and Kα2)).
Peak positions follow from Bragg's law for the DFT cell and can differ from measured ones.

Structure:
Lattice parameters (Å, degrees): 18.976 3.893 8.511 90.00 102.60 90.00
Space group C2/m (No. 12)
Unique sites:
Ho1 0.001 0.000 0.313
Ho2 0.125 0.500 0.561
I1 0.000 0.500 0.000
I2 0.162 0.000 0.839
I3 0.166 0.000 0.321
N1 0.000 0.500 0.500

Main lines, in order of falling intensity (2θ from 5° to 70°):
- hkl 1 1 -2, 31.1 deg, I = 100
- hkl 5 1 0, 33.4 deg, I = 40
- hkl 6 0 0, 28.9 deg, I = 39
- hkl 0 0 1, 10.7 deg, I = 36
- hkl 2 0 0, 9.6 deg, I = 29
- hkl 3 1 1, 30.3 deg, I = 23
- hkl 7 1 -2, 43.1 deg, I = 21
- hkl 5 1 2, 42.9 deg, I = 21
- hkl 0 2 0, 46.7 deg, I = 19
- hkl 2 0 3, 35.8 deg, I = 15
- hkl 3 1 -1, 28.0 deg, I = 14
- hkl 2 0 -4, 42.5 deg, I = 13